Entry 1:
Structure and calculated powder XRD pattern of HoNi3 (DFT lattice parameters and positions (GGA-PBE); Cu Kα, 1.54184 Å).
Kinematic intensities with the Lorentz-polarization factor, no thermal factor.

Crystal structure
```
HoNi3
1.0
2.4688 1.4254 8.0778
-2.4688 1.4254 8.0778
0.0000 -2.8507 8.0778
Ho Ni
3 9
direct
0.0000 0.0000 0.0000 Ho
0.1389 0.1389 0.1389 Ho
0.8611 0.8611 0.8611 Ho
0.0810 0.5827 0.5827 Ni
0.3331 0.3331 0.3331 Ni
0.4173 0.4173 0.9190 Ni
0.4173 0.9190 0.4173 Ni
0.5000 0.5000 0.5000 Ni
0.5827 0.0810 0.5827 Ni
0.5827 0.5827 0.0810 Ni
0.6669 0.6669 0.6669 Ni
0.9190 0.4173 0.4173 Ni
```

The 8 most intense peaks (10 to 90 degrees two-theta), most intense first:
| Position (°2θ) | Rel. int. |
| --- | --- |
| 42.9 | 100 |
| 36.4 | 90 |
| 33.3 | 49 |
| 42.4 | 36 |
| 46.4 | 27 |
| 70.0 | 20 |
| 44.9 | 20 |
| 77.3 | 20 |

---

Entry 2:
Structure and calculated powder XRD pattern of NbCr3Ag2S8 (DFT lattice parameters and positions (GGA-PBE); Cu Kα, 1.54184 Å).
Kinematic intensities with the Lorentz-polarization factor, no thermal factor.

Crystal structure
```
NbCr3Ag2S8
1.0
6.2246 -3.6576 0.0000
6.2246 3.6576 0.0000
-4.1253 0.0000 6.0008
Nb Cr Ag S
1 3 2 8
direct
0.0000 0.0000 0.0000 Nb
0.0487 0.9513 0.5000 Cr
0.0513 0.4509 0.0046 Cr
0.5491 0.9487 0.9954 Cr
0.3915 0.3437 0.6197 Ag
0.6563 0.6085 0.3803 Ag
0.2449 0.7227 0.2338 S
0.2773 0.7551 0.7662 S
0.2805 0.1863 0.7681 S
0.2905 0.1852 0.2083 S
0.7964 0.1836 0.2528 S
0.8137 0.7195 0.2319 S
0.8148 0.7095 0.7917 S
0.8164 0.2036 0.7472 S
```

The 8 most intense peaks (10 to 90 degrees two-theta), most intense first:
| Position (°2θ) | Rel. int. |
| --- | --- |
| 28.8 | 100 |
| 24.3 | 89 |
| 28.6 | 84 |
| 49.7 | 53 |
| 50.6 | 48 |
| 28.9 | 45 |
| 45.7 | 37 |
| 45.5 | 37 |

---

Entry 3:
Structure and calculated powder XRD pattern of CsMg14SiO16 (DFT lattice parameters and positions (GGA-PBE); Cu Kα, 1.54184 Å).
Kinematic intensities with the Lorentz-polarization factor, no thermal factor.

Crystal structure
```
CsMg14SiO16
1.0
8.7903 0.0000 0.0000
0.0000 8.7903 0.0000
0.0000 0.0000 4.4683
Cs Mg Si O
1 14 1 16
direct
0.0000 0.0000 0.0000 Cs
0.0000 0.2621 0.5000 Mg
0.0000 0.5000 0.0000 Mg
0.0000 0.7379 0.5000 Mg
0.2494 0.5000 0.5000 Mg
0.2522 0.2522 0.0000 Mg
0.2522 0.7478 0.0000 Mg
0.2621 0.0000 0.5000 Mg
0.5000 0.0000 0.0000 Mg
0.5000 0.2494 0.5000 Mg
0.5000 0.7506 0.5000 Mg
0.7379 0.0000 0.5000 Mg
0.7478 0.2522 0.0000 Mg
0.7478 0.7478 0.0000 Mg
0.7506 0.5000 0.5000 Mg
0.5000 0.5000 0.0000 Si
0.0000 0.0000 0.5000 O
0.0000 0.2868 0.0000 O
0.0000 0.5000 0.5000 O
0.0000 0.7132 0.0000 O
0.2512 0.2512 0.5000 O
0.2512 0.7488 0.5000 O
0.2643 0.5000 0.0000 O
0.2868 0.0000 0.0000 O
0.5000 0.0000 0.5000 O
0.5000 0.2643 0.0000 O
0.5000 0.5000 0.5000 O
0.5000 0.7357 0.0000 O
0.7132 0.0000 0.0000 O
0.7357 0.5000 0.0000 O
0.7488 0.2512 0.5000 O
0.7488 0.7488 0.5000 O
```

The 8 most intense peaks (10 to 90 degrees two-theta), most intense first:
| Position (°2θ) | Rel. int. |
| --- | --- |
| 41.1 | 100 |
| 59.0 | 61 |
| 40.4 | 55 |
| 35.2 | 36 |
| 10.1 | 33 |
| 59.5 | 28 |
| 74.4 | 27 |
| 14.2 | 19 |